Record 1
The following is a simulated powder diffractogram of Sr2Al8Pt3. It was derived from a cell relaxed with GGA-PBE, using Cu Kα X-rays.
Neutral-atom scattering factors, no anomalous dispersion.

Structure:
```
Sr2Al8Pt3
1.0
10.9019 0.0000 0.0000
0.0000 10.9019 0.0000
0.0000 0.0000 8.2946
Sr Al Pt
8 32 12
Cartesian
0.5015 8.1764 0.9479
2.7255 5.9524 3.1994
2.7255 10.4004 3.1994
4.9495 8.1764 0.9479
5.9524 2.7255 7.3467
8.1764 0.5015 5.0952
8.1764 4.9495 5.0952
10.4004 2.7255 7.3467
0.4532 1.3222 4.4381
0.4532 4.1287 4.4381
1.1924 2.7255 2.0625
1.3222 0.4532 0.2908
1.3222 4.9978 0.2908
1.3850 8.1764 5.2418
2.7255 1.1924 6.2098
2.7255 4.2585 6.2098
2.7255 6.8360 7.2001
2.7255 9.5169 7.2001
4.0659 8.1764 5.2418
4.1287 0.4532 0.2908
4.1287 4.9978 0.2908
4.2585 2.7255 2.0625
4.9978 1.3222 4.4381
4.9978 4.1287 4.4381
5.9041 6.7732 3.8565
5.9041 9.5796 3.8565
6.6434 8.1764 6.2321
6.7732 5.9041 8.0038
6.7732 10.4487 8.0038
6.8360 2.7255 3.0528
8.1764 1.3850 1.0945
8.1764 4.0659 1.0945
8.1764 6.6434 2.0848
8.1764 9.7094 2.0848
9.5169 2.7255 3.0528
9.5796 5.9041 8.0038
9.5796 10.4487 8.0038
9.7094 8.1764 6.2321
10.4487 6.7732 3.8565
10.4487 9.5796 3.8565
0.4862 5.9371 6.2209
0.4862 10.4157 6.2209
2.7255 2.7255 0.0237
2.7255 2.7255 4.1710
4.9647 5.9371 6.2209
4.9647 10.4157 6.2209
5.9371 0.4862 2.0736
5.9371 4.9647 2.0736
8.1764 8.1764 4.1236
8.1764 8.1764 8.2709
10.4157 0.4862 2.0736
10.4157 4.9647 2.0736
```

Principal peaks in the range 5 to 70 degrees two-theta, most intense first:
(hkl), Position (°2θ), I/Imax
2 0 2, 27.01, 100
3 2 1, 31.49, 75
4 0 0, 32.83, 48
4 2 2, 43.04, 47
3 3 2, 41.33, 44
3 1 0, 25.84, 40

---

Record 2
The following is a simulated powder diffractogram of SrAl2ZnPt. It was derived from a cell relaxed with GGA-PBE, using Cu Kα X-rays.
Neutral-atom scattering factors, no anomalous dispersion.

Structure:
```
SrAl2ZnPt
1.0
4.2946 0.0000 0.0000
0.0000 4.2946 0.0000
0.0000 0.0000 11.1578
Sr Al Zn Pt
2 4 2 2
Cartesian
0.0000 0.0000 0.0000
2.1473 2.1473 5.5789
0.0000 2.1473 2.7595
0.0000 2.1473 8.3384
2.1473 0.0000 2.7595
2.1473 0.0000 8.3384
0.0000 0.0000 4.3965
2.1473 2.1473 9.9754
0.0000 0.0000 7.0246
2.1473 2.1473 1.4457
```

Principal peaks in the range 5 to 70 degrees two-theta, most intense first:
(hkl), Position (°2θ), I/Imax
1 0 3, 31.83, 100
1 1 0, 29.41, 74
1 0 1, 22.18, 62
2 0 0, 42.08, 52
1 0 5, 45.82, 47
2 1 3, 53.71, 46

---

Record 3
The following is a simulated powder diffractogram of Al2Te4Pt. It was derived from a cell relaxed with GGA-PBE, using Cu Kα X-rays.
Neutral-atom scattering factors, no anomalous dispersion.

Structure:
```
Al2Te4Pt
1.0
5.8772 0.0000 0.0000
0.0000 5.8772 0.0000
0.0000 0.0000 12.3114
Al Te Pt
4 8 2
Cartesian
0.0000 0.0000 0.0000
0.0000 2.9386 3.0779
2.9386 0.0000 9.2336
2.9386 2.9386 6.1557
1.3224 4.3059 7.8003
1.3673 1.6162 10.6668
1.5713 1.3224 4.5111
1.6162 4.5100 1.6446
4.2610 1.3673 1.6446
4.3059 4.5548 4.5111
4.5100 4.2610 10.6668
4.5548 1.5713 7.8003
0.0000 0.0000 6.1557
2.9386 2.9386 0.0000
```

Principal peaks in the range 5 to 70 degrees two-theta, most intense first:
(hkl), Position (°2θ), I/Imax
1 1 2, 25.87, 100
2 0 4, 42.53, 45
1 0 1, 16.72, 27
1 3 2, 51.35, 27
2 2 0, 43.56, 21
1 1 6, 49.54, 15